# 1
Diffraction record for Tl4In2Sn2Hg. The X-ray powder pattern is simulated, not measured: it uses a DFT-relaxed cell (PBE, Alexandria) and copper Kα.

Most intense lines, 2θ from 10° to 80°, by angle:
31.71°, I = 51; 32.36°, I = 100; 32.88°, I = 48; 33.45°, I = 45; 34.12°, I = 45; 44.15°, I = 21; 47.72°, I = 16; 49.32°, I = 15; 56.58°, I = 11; 58.83°, I = 17

Atomic structure:
a b c (Å): 6.1375 6.4110 6.7060
angles (deg): 91.92 97.11 95.85
Sites, in units of the cell vectors:
Tl (0.0577, 0.4085, 0.2363)
Tl (0.2703, 0.9313, 0.1149)
Tl (0.7297, 0.0687, 0.8851)
Tl (0.9423, 0.5915, 0.7637)
In (0.4027, 0.7157, 0.5758)
In (0.5973, 0.2843, 0.4242)
Sn (0.1820, 0.1460, 0.6589)
Sn (0.8180, 0.8540, 0.3411)
Hg (0.5000, 0.5000, 0.0000)

---

# 2
Diffraction record for Tl4Hg12Pb. The X-ray powder pattern is simulated, not measured: it uses a DFT-relaxed cell (PBE, Alexandria) and copper Kα.

Most intense lines, 2θ from 10° to 80°, by angle:
31.16°, I = 100; 33.73°, I = 18; 36.14°, I = 65; 38.42°, I = 14; 42.66°, I = 18; 52.04°, I = 37; 61.91°, I = 29; 63.46°, I = 12; 64.99°, I = 10; 69.48°, I = 12

Atomic structure:
a b c (Å): 8.6096 8.6096 8.6096
angles (deg): 109.47 109.47 109.47
Sites, in units of the cell vectors:
Tl (0.0000, 0.0000, 0.5000)
Tl (0.0000, 0.5000, 0.0000)
Tl (0.5000, 0.0000, 0.0000)
Tl (0.5000, 0.5000, 0.5000)
Hg (0.0000, 0.3066, 0.3066)
Hg (0.0000, 0.6934, 0.6934)
Hg (0.2500, 0.5000, 0.7500)
Hg (0.2500, 0.7500, 0.5000)
Hg (0.3066, 0.0000, 0.3066)
Hg (0.3066, 0.3066, 0.0000)
Hg (0.5000, 0.2500, 0.7500)
Hg (0.5000, 0.7500, 0.2500)
Hg (0.6934, 0.0000, 0.6934)
Hg (0.6934, 0.6934, 0.0000)
Hg (0.7500, 0.2500, 0.5000)
Hg (0.7500, 0.5000, 0.2500)
Pb (0.0000, 0.0000, 0.0000)

---

# 3
Diffraction record for Y2Cd3Pd. The X-ray powder pattern is simulated, not measured: it uses a DFT-relaxed cell (PBE, Alexandria) and copper Kα.

Most intense lines, 2θ from 10° to 80°, by angle:
25.71°, I = 15; 33.52°, I = 100; 36.97°, I = 57; 37.17°, I = 31; 45.58°, I = 16; 50.87°, I = 19; 52.85°, I = 11; 64.71°, I = 10; 66.25°, I = 20; 66.37°, I = 11

Atomic structure:
a b c (Å): 3.4646 4.8382 8.4364
angles (deg): 90.00 90.00 90.00
Sites, in units of the cell vectors:
Y (0.0000, 0.0000, 0.0000)
Y (0.0000, 0.5000, 0.4376)
Cd (0.5000, 0.0000, 0.6261)
Cd (0.5000, 0.5000, 0.1278)
Cd (0.5000, 0.5000, 0.7934)
Pd (0.5000, 0.0000, 0.2957)

---

# 4
Diffraction record for Na2AcTcN4. The X-ray powder pattern is simulated, not measured: it uses a DFT-relaxed cell (PBE, Alexandria) and copper Kα.

Most intense lines, 2θ from 10° to 80°, by angle:
12.94°, I = 100; 20.13°, I = 96; 23.62°, I = 45; 24.60°, I = 53; 27.89°, I = 70; 30.37°, I = 78; 31.00°, I = 58; 31.99°, I = 84; 39.47°, I = 51; 42.18°, I = 41

Atomic structure:
a b c (Å): 7.2382 6.8421 5.7700
angles (deg): 90.00 90.00 90.00
Sites, in units of the cell vectors:
Na (0.2409, 0.1403, 0.0000)
Na (0.2591, 0.8597, 0.5000)
Na (0.7409, 0.8597, 0.5000)
Na (0.7591, 0.1403, 0.0000)
Ac (0.0000, 0.3884, 0.4907)
Ac (0.5000, 0.6116, 0.9907)
Tc (0.0000, 0.6874, 0.0166)
Tc (0.5000, 0.3126, 0.5166)
N (0.0000, 0.4209, 0.9655)
N (0.0000, 0.7123, 0.3293)
N (0.2112, 0.7990, 0.9032)
N (0.2888, 0.2010, 0.4032)
N (0.5000, 0.2877, 0.8293)
N (0.5000, 0.5791, 0.4655)
N (0.7112, 0.2010, 0.4032)
N (0.7888, 0.7990, 0.9032)

---

# 5
Diffraction record for Tb4TmCd2. The X-ray powder pattern is simulated, not measured: it uses a DFT-relaxed cell (PBE, Alexandria) and copper Kα.

Most intense lines, 2θ from 10° to 80°, by angle:
20.14°, I = 15; 24.87°, I = 68; 34.87°, I = 100; 36.05°, I = 79; 43.31°, I = 16; 51.03°, I = 29; 56.76°, I = 15; 62.52°, I = 18; 63.29°, I = 30; 73.63°, I = 11

Atomic structure:
a b c (Å): 10.4460 10.4460 10.4460
angles (deg): 28.52 28.52 28.52
Sites, in units of the cell vectors:
Tb (0.1101, 0.1101, 0.1101)
Tb (0.2954, 0.2954, 0.2954)
Tb (0.7046, 0.7046, 0.7046)
Tb (0.8899, 0.8899, 0.8899)
Tm (0.5000, 0.5000, 0.5000)
Cd (0.4000, 0.4000, 0.4000)
Cd (0.6000, 0.6000, 0.6000)

---

# 6
Diffraction record for BaZn2Cd10. The X-ray powder pattern is simulated, not measured: it uses a DFT-relaxed cell (PBE, Alexandria) and copper Kα.

Most intense lines, 2θ from 10° to 80°, by angle:
30.57°, I = 53; 35.32°, I = 44; 35.45°, I = 100; 35.59°, I = 38; 39.70°, I = 48; 39.88°, I = 40; 39.98°, I = 12; 57.43°, I = 13; 63.63°, I = 28; 63.94°, I = 12

Atomic structure:
a b c (Å): 10.1244 7.7663 7.7017
angles (deg): 81.77 49.39 48.84
Sites, in units of the cell vectors:
Ba (0.0000, 0.0000, 0.0000)
Zn (0.0000, 0.5000, 0.0000)
Zn (0.5000, 0.0000, 0.5000)
Cd (0.0000, 0.0000, 0.5000)
Cd (0.0079, 0.3533, 0.6467)
Cd (0.2772, 0.4919, 0.5081)
Cd (0.3533, 0.0079, 0.9921)
Cd (0.4919, 0.2772, 0.7228)
Cd (0.5000, 0.5000, 0.0000)
Cd (0.5081, 0.7228, 0.2772)
Cd (0.6467, 0.9921, 0.0079)
Cd (0.7228, 0.5081, 0.4919)
Cd (0.9921, 0.6467, 0.3533)

---

# 7
Diffraction record for Ba2LaTlO5. The X-ray powder pattern is simulated, not measured: it uses a DFT-relaxed cell (PBE, Alexandria) and copper Kα.

Most intense lines, 2θ from 10° to 80°, by angle:
25.68°, I = 40; 27.75°, I = 100; 28.99°, I = 87; 29.58°, I = 71; 30.64°, I = 55; 33.80°, I = 47; 35.78°, I = 29; 43.14°, I = 34; 49.41°, I = 29; 50.61°, I = 35

Atomic structure:
a b c (Å): 7.9315 7.9315 11.6582
angles (deg): 90.00 90.00 152.78
Sites, in units of the cell vectors:
Ba (0.1142, 0.8858, 0.5000)
Ba (0.1345, 0.8655, 0.0839)
Ba (0.8655, 0.1345, 0.5839)
Ba (0.8858, 0.1142, 0.0000)
La (0.2176, 0.7824, 0.8034)
La (0.7824, 0.2176, 0.3034)
Tl (0.4854, 0.5146, 0.2687)
Tl (0.5146, 0.4854, 0.7687)
O (0.0554, 0.9446, 0.8559)
O (0.2834, 0.7166, 0.4406)
O (0.3046, 0.6954, 0.1727)
O (0.3706, 0.6294, 0.8066)
O (0.4964, 0.5036, 0.5851)
O (0.5036, 0.4964, 0.0851)
O (0.6294, 0.3706, 0.3066)
O (0.6954, 0.3046, 0.6727)
O (0.7166, 0.2834, 0.9406)
O (0.9446, 0.0554, 0.3559)

---

# 8
Diffraction record for La2Sn4Ru. The X-ray powder pattern is simulated, not measured: it uses a DFT-relaxed cell (PBE, Alexandria) and copper Kα.

Most intense lines, 2θ from 10° to 80°, by angle:
31.14°, I = 100; 32.16°, I = 9; 36.75°, I = 14; 37.64°, I = 12; 38.16°, I = 22; 38.63°, I = 21; 54.02°, I = 9; 55.42°, I = 24; 64.63°, I = 11; 65.27°, I = 12

Atomic structure:
a b c (Å): 4.6619 8.9351 8.9351
angles (deg): 30.61 90.00 90.00
Sites, in units of the cell vectors:
La (0.0000, 0.0000, 0.0000)
La (0.5000, 0.2060, 0.2060)
Sn (0.0000, 0.3648, 0.3648)
Sn (0.0000, 0.6458, 0.6458)
Sn (0.5000, 0.5287, 0.5287)
Sn (0.5000, 0.8648, 0.8648)
Ru (0.0000, 0.7959, 0.7959)

---

# 9
Diffraction record for NdEr2UP4. The X-ray powder pattern is simulated, not measured: it uses a DFT-relaxed cell (PBE, Alexandria) and copper Kα.

Most intense lines, 2θ from 10° to 80°, by angle:
27.18°, I = 24; 27.31°, I = 70; 31.60°, I = 100; 45.21°, I = 37; 45.39°, I = 37; 53.56°, I = 12; 53.68°, I = 15; 53.78°, I = 19; 56.36°, I = 19; 75.15°, I = 17

Atomic structure:
a b c (Å): 6.9224 3.9961 6.9502
angles (deg): 90.00 109.24 90.00
Sites, in units of the cell vectors:
Nd (0.0000, 0.0000, 0.0000)
Er (0.5000, 0.0000, 0.5000)
Er (0.5000, 0.5000, 0.0000)
U (0.0000, 0.5000, 0.5000)
P (0.2511, 0.0000, 0.7425)
P (0.2546, 0.5000, 0.2624)
P (0.7454, 0.5000, 0.7376)
P (0.7489, 0.0000, 0.2575)

---

# 10
Diffraction record for Ba2Mg3CdGe4. The X-ray powder pattern is simulated, not measured: it uses a DFT-relaxed cell (PBE, Alexandria) and copper Kα.

Most intense lines, 2θ from 10° to 80°, by angle:
20.52°, I = 17; 30.03°, I = 49; 31.19°, I = 100; 38.59°, I = 47; 43.60°, I = 24; 49.65°, I = 23; 55.10°, I = 13; 55.71°, I = 16; 59.61°, I = 19; 65.24°, I = 23

Atomic structure:
a b c (Å): 4.6666 4.6666 11.5883
angles (deg): 90.00 90.00 90.00
Sites, in units of the cell vectors:
Ba (0.0000, 0.5000, 0.2481)
Ba (0.5000, 0.0000, 0.7519)
Mg (0.0000, 0.5000, 0.8713)
Mg (0.5000, 0.0000, 0.1287)
Mg (0.5000, 0.5000, 0.5000)
Cd (0.0000, 0.0000, 0.5000)
Ge (0.0000, 0.0000, 0.0000)
Ge (0.0000, 0.5000, 0.6377)
Ge (0.5000, 0.0000, 0.3623)
Ge (0.5000, 0.5000, 0.0000)

---

# 11
Diffraction record for NbRhO. The X-ray powder pattern is simulated, not measured: it uses a DFT-relaxed cell (PBE, Alexandria) and copper Kα.

Most intense lines, 2θ from 10° to 80°, by angle:
18.51°, I = 14; 19.24°, I = 14; 32.35°, I = 11; 37.53°, I = 23; 37.91°, I = 24; 39.05°, I = 35; 42.51°, I = 100; 55.27°, I = 15; 67.72°, I = 14; 73.12°, I = 19

Atomic structure:
a b c (Å): 5.5345 5.5345 4.6134
angles (deg): 90.00 90.00 120.00
Sites, in units of the cell vectors:
Nb (0.0000, 0.0000, 0.0000)
Nb (0.3333, 0.6667, 0.5000)
Nb (0.6667, 0.3333, 0.5000)
Rh (0.0000, 0.5265, 0.0000)
Rh (0.4735, 0.4735, 0.0000)
Rh (0.5265, 0.0000, 0.0000)
O (0.0000, 0.2753, 0.5000)
O (0.2753, 0.0000, 0.5000)
O (0.7247, 0.7247, 0.5000)

---

# 12
Diffraction record for MnSiAg3. The X-ray powder pattern is simulated, not measured: it uses a DFT-relaxed cell (PBE, Alexandria) and copper Kα.

Most intense lines, 2θ from 10° to 80°, by angle:
18.70°, I = 17; 26.57°, I = 1; 32.69°, I = 100; 37.93°, I = 66; 42.61°, I = 8; 54.72°, I = 43; 58.35°, I = 4; 65.22°, I = 37; 68.51°, I = 14; 71.72°, I = 2

Atomic structure:
a b c (Å): 4.7447 4.7447 4.7447
angles (deg): 90.00 90.00 90.00
Sites, in units of the cell vectors:
Mn (0.0000, 0.0000, 0.0000)
Si (0.5000, 0.5000, 0.5000)
Ag (0.0000, 0.5000, 0.5000)
Ag (0.5000, 0.0000, 0.5000)
Ag (0.5000, 0.5000, 0.0000)

---

# 13
Diffraction record for Ga4Hg5I4. The X-ray powder pattern is simulated, not measured: it uses a DFT-relaxed cell (PBE, Alexandria) and copper Kα.

Most intense lines, 2θ from 10° to 80°, by angle:
27.00°, I = 43; 28.34°, I = 38; 29.88°, I = 60; 32.53°, I = 100; 36.08°, I = 26; 37.26°, I = 28; 38.75°, I = 27; 48.70°, I = 18; 53.98°, I = 16; 56.26°, I = 16

Atomic structure:
a b c (Å): 4.6478 10.2246 10.2247
angles (deg): 87.06 76.92 76.86
Sites, in units of the cell vectors:
Ga (0.0361, 0.2149, 0.2128)
Ga (0.2505, 0.2872, 0.7149)
Ga (0.7495, 0.7128, 0.2851)
Ga (0.9639, 0.7851, 0.7872)
Hg (0.0000, 0.5000, 0.0000)
Hg (0.3409, 0.7456, 0.0721)
Hg (0.4132, 0.4279, 0.2456)
Hg (0.5868, 0.5721, 0.7544)
Hg (0.6591, 0.2544, 0.9279)
I (0.1436, 0.7241, 0.4873)
I (0.3686, 0.9874, 0.7759)
I (0.6314, 0.0126, 0.2241)
I (0.8564, 0.2759, 0.5127)